[1]
Starting from a GGA-PBE-relaxed structure, the XRD peak list of Na2MgInF7 was computed for CuKα.
No peak broadening, texture or thermal motion is included.

Crystal structure
a b c (Å): 10.620 7.470 7.663
angles (deg): 90.00 90.00 90.00
Atoms (fractional coordinates):
Na 0.000 0.000 0.000
Na 0.000 0.500 0.000
Na 0.231 0.250 0.267
Na 0.269 0.750 0.767
Na 0.500 0.000 0.500
Na 0.500 0.500 0.500
Na 0.731 0.250 0.233
Na 0.769 0.750 0.733
Mg 0.000 0.000 0.500
Mg 0.000 0.500 0.500
Mg 0.500 0.000 0.000
Mg 0.500 0.500 0.000
In 0.239 0.250 0.752
In 0.261 0.750 0.252
In 0.739 0.250 0.748
In 0.761 0.750 0.248
F 0.030 0.250 0.446
F 0.124 0.022 0.699
F 0.124 0.478 0.699
F 0.136 0.546 0.326
F 0.136 0.954 0.326
F 0.141 0.250 0.994
F 0.159 0.750 0.017
F 0.341 0.250 0.517
F 0.359 0.750 0.494
F 0.364 0.046 0.826
F 0.364 0.454 0.826
F 0.376 0.522 0.199
F 0.376 0.978 0.199
F 0.470 0.750 0.946
F 0.530 0.250 0.054
F 0.624 0.022 0.801
F 0.624 0.478 0.801
F 0.636 0.546 0.174
F 0.636 0.954 0.174
F 0.641 0.250 0.506
F 0.659 0.750 0.483
F 0.841 0.250 0.983
F 0.859 0.750 0.006
F 0.864 0.046 0.674
F 0.864 0.454 0.674
F 0.876 0.522 0.301
F 0.876 0.978 0.301
F 0.970 0.750 0.554

Top 10 peaks for 2θ = 15–90°, by intensity:
2theta, d (Å), intensity
16.57, 5.349, 100
28.73, 3.107, 93
23.61, 3.768, 81
29.23, 3.055, 76
48.30, 1.884, 69
16.70, 5.310, 34
41.75, 2.163, 32
57.60, 1.600, 31
56.72, 1.623, 26
48.76, 1.868, 23



[2]
Starting from a GGA-PBE-relaxed structure, the XRD peak list of Rb2MgInF5 was computed for CuKα.
No peak broadening, texture or thermal motion is included.

Crystal structure
a b c (Å): 7.498 7.498 7.498
angles (deg): 148.57 130.02 60.25
Atoms (fractional coordinates):
Rb 0.218 0.218 0.000
Rb 0.782 0.782 0.000
Mg 0.000 0.500 0.500
In 0.500 0.000 0.500
F 0.000 0.000 0.000
F 0.115 0.388 0.727
F 0.339 0.612 0.727
F 0.661 0.388 0.273
F 0.885 0.612 0.273

Top 10 peaks for 2θ = 15–90°, by intensity:
2theta, d (Å), intensity
29.53, 3.025, 100
39.78, 2.266, 34
50.72, 1.800, 31
24.93, 3.571, 29
36.63, 2.453, 29
41.29, 2.186, 26
28.17, 3.168, 23
61.29, 1.512, 17
44.61, 2.031, 16
27.51, 3.243, 16



[3]
Starting from a GGA-PBE-relaxed structure, the XRD peak list of Rb2MgInF6 was computed for CuKα.
No peak broadening, texture or thermal motion is included.

Crystal structure
a b c (Å): 6.173 6.173 6.173
angles (deg): 60.00 60.00 60.00
Atoms (fractional coordinates):
Rb 0.250 0.250 0.250
Rb 0.750 0.750 0.750
Mg 0.000 0.000 0.000
In 0.500 0.500 0.500
F 0.234 0.234 0.766
F 0.234 0.766 0.234
F 0.234 0.766 0.766
F 0.766 0.234 0.234
F 0.766 0.234 0.766
F 0.766 0.766 0.234

Top 10 peaks for 2θ = 15–90°, by intensity:
2theta, d (Å), intensity
28.93, 3.087, 100
41.37, 2.183, 44
51.26, 1.782, 40
59.94, 1.543, 27
82.72, 1.167, 21
67.90, 1.380, 18
17.60, 5.040, 17
34.06, 2.632, 15
35.62, 2.520, 11
45.28, 2.003, 9



Copy entry 1 word for word.
Starting from a GGA-PBE-relaxed structure, the XRD peak list of Na2MgInF7 was computed for CuKα.
No peak broadening, texture or thermal motion is included.

Crystal structure
a b c (Å): 10.620 7.470 7.663
angles (deg): 90.00 90.00 90.00
Atoms (fractional coordinates):
Na 0.000 0.000 0.000
Na 0.000 0.500 0.000
Na 0.231 0.250 0.267
Na 0.269 0.750 0.767
Na 0.500 0.000 0.500
Na 0.500 0.500 0.500
Na 0.731 0.250 0.233
Na 0.769 0.750 0.733
Mg 0.000 0.000 0.500
Mg 0.000 0.500 0.500
Mg 0.500 0.000 0.000
Mg 0.500 0.500 0.000
In 0.239 0.250 0.752
In 0.261 0.750 0.252
In 0.739 0.250 0.748
In 0.761 0.750 0.248
F 0.030 0.250 0.446
F 0.124 0.022 0.699
F 0.124 0.478 0.699
F 0.136 0.546 0.326
F 0.136 0.954 0.326
F 0.141 0.250 0.994
F 0.159 0.750 0.017
F 0.341 0.250 0.517
F 0.359 0.750 0.494
F 0.364 0.046 0.826
F 0.364 0.454 0.826
F 0.376 0.522 0.199
F 0.376 0.978 0.199
F 0.470 0.750 0.946
F 0.530 0.250 0.054
F 0.624 0.022 0.801
F 0.624 0.478 0.801
F 0.636 0.546 0.174
F 0.636 0.954 0.174
F 0.641 0.250 0.506
F 0.659 0.750 0.483
F 0.841 0.250 0.983
F 0.859 0.750 0.006
F 0.864 0.046 0.674
F 0.864 0.454 0.674
F 0.876 0.522 0.301
F 0.876 0.978 0.301
F 0.970 0.750 0.554

Top 10 peaks for 2θ = 15–90°, by intensity:
2theta, d (Å), intensity
16.57, 5.349, 100
28.73, 3.107, 93
23.61, 3.768, 81
29.23, 3.055, 76
48.30, 1.884, 69
16.70, 5.310, 34
41.75, 2.163, 32
57.60, 1.600, 31
56.72, 1.623, 26
48.76, 1.868, 23



What is the formula in the first record?
Na2MgInF7